# 1
The following is a theoretical X-ray diffraction stick pattern of Na2YTaSi2SO12. It was derived from a DFT-relaxed cell (GGA-PBE, the Materials Project), using Cu Kα (λ = 1.5418 Å).

Structure:
```
data_Na2YTaSi2SO12
_symmetry_space_group_name_H-M 'C 1 c 1'
_symmetry_Int_Tables_number 9
_cell_length_a 15.8083
_cell_length_b 9.2567
_cell_length_c 9.2996
_cell_angle_alpha 90.00
_cell_angle_beta 123.81
_cell_angle_gamma 90.00
loop_
_symmetry_equiv_pos_as_xyz
'x,y,z'
'x,-y,z+1/2'
'x+1/2,y+1/2,z'
'x+1/2,-y+1/2,z+1/2'
loop_
_atom_site_label
_atom_site_fract_x
_atom_site_fract_y
_atom_site_fract_z
Na1 0.0000 0.0517 0.0000
Na2 0.0801 0.2454 0.7415
Y1 0.4188 0.2523 0.8085
Ta1 0.2162 0.2513 0.1909
Si1 0.1757 0.0949 0.5010
Si2 0.3177 0.4581 0.0059
S1 0.4687 0.1111 0.4977
O1 0.0565 0.3064 0.0096
O2 0.0766 0.1576 0.4892
O3 0.1740 0.0878 0.0233
O4 0.1770 0.1374 0.3228
O5 0.2375 0.3594 0.0290
O6 0.2532 0.4218 0.3377
O7 0.2766 0.1537 0.6671
O8 0.3740 0.1785 0.3442
O9 0.3928 0.3535 0.9876
O10 0.3945 0.4493 0.6754
O11 0.4736 0.1340 0.6574
O12 0.4792 0.0412 0.9753
```

Largest 12 diffraction maxima, by angle, 5° ≤ 2θ ≤ 70°:
2θ (°)  I/Imax  h k l
13.5  82  1 1 -1
18.9  75  1 1 1
19.1  100  2 0 -2
19.4  97  3 1 -1
22.4  32  0 2 1
27.2  68  4 0 0
30.1  91  3 1 1
30.4  41  3 1 -3
33.7  44  3 3 -1
34.0  22  6 0 -2
44.0  18  5 3 -3
49.4  23  4 2 2

***

# 2
The following is a theoretical X-ray diffraction stick pattern of MgPb2. It was derived from a DFT-relaxed cell (GGA-PBE, the Materials Project), using Cu Kα (λ = 1.5418 Å).

Structure:
```
data_MgPb2
_symmetry_space_group_name_H-M 'C 1 2/m 1'
_symmetry_Int_Tables_number 12
_cell_length_a 13.0814
_cell_length_b 3.4873
_cell_length_c 7.9028
_cell_angle_alpha 90.00
_cell_angle_beta 106.56
_cell_angle_gamma 90.00
loop_
_symmetry_equiv_pos_as_xyz
'x,y,z'
'-x,-y,-z'
'-x,y,-z'
'x,-y,z'
'x+1/2,y+1/2,z'
'-x+1/2,-y+1/2,-z'
'-x+1/2,y+1/2,-z'
'x+1/2,-y+1/2,z'
loop_
_atom_site_label
_atom_site_fract_x
_atom_site_fract_y
_atom_site_fract_z
Mg1 0.0287 0.0000 0.3029
Pb1 0.1332 0.5000 0.0318
Pb2 0.1764 0.5000 0.6269
```

Largest 12 diffraction maxima, by angle, 5° ≤ 2θ ≤ 70°:
2θ (°)  I/Imax  h k l
14.1  35  2 0 0
23.7  31  2 0 -2
26.5  48  1 1 0
29.9  30  1 1 1
30.9  30  2 0 2
31.4  69  4 0 -2
33.5  100  3 1 0
33.9  31  4 0 1
34.3  96  1 1 -2
35.6  33  0 0 3
62.5  34  4 2 -2
65.6  32  1 1 -5

***

# 3
The following is a theoretical X-ray diffraction stick pattern of Al2Ru. It was derived from a DFT-relaxed cell (GGA-PBE, the Materials Project), using Cu Kα (λ = 1.5418 Å).

Structure:
```
data_Al2Ru
_symmetry_space_group_name_H-M 'I 4/m m m'
_symmetry_Int_Tables_number 139
_symmetry_space_group_name_Hall '-I 4 2'
_cell_length_a 3.1545
_cell_length_b 3.1545
_cell_length_c 8.4591
_cell_angle_alpha 90.00
_cell_angle_beta 90.00
_cell_angle_gamma 90.00
loop_
_atom_site_label
_atom_site_fract_x
_atom_site_fract_y
_atom_site_fract_z
Al1 0.0000 0.0000 0.1598
Ru1 0.0000 0.0000 0.5000
```

Largest 12 diffraction maxima, by angle, 5° ≤ 2θ ≤ 70°:
2θ (°)  I/Imax  h k l
21.0  44  0 0 2
30.2  60  1 0 1
40.4  60  1 1 0
42.8  5  0 0 4
43.0  100  1 0 3
46.0  22  1 1 2
58.5  20  2 0 0
60.3  7  1 1 4
62.3  10  1 0 5
62.9  8  2 0 2
66.3  7  0 0 6
67.3  12  2 1 1

***

# 4
The following is a theoretical X-ray diffraction stick pattern of Na2PSe3. It was derived from a DFT-relaxed cell (GGA-PBE, the Materials Project), using Cu Kα (λ = 1.5418 Å).

Structure:
```
data_Na2PSe3
_symmetry_space_group_name_H-M 'C m c e'
_symmetry_Int_Tables_number 64
_symmetry_space_group_name_Hall '-C 2ac 2'
_cell_length_a 11.9405
_cell_length_b 13.4331
_cell_length_c 8.1026
_cell_angle_alpha 90.00
_cell_angle_beta 90.00
_cell_angle_gamma 90.00
loop_
_atom_site_label
_atom_site_fract_x
_atom_site_fract_y
_atom_site_fract_z
Na1 0.0000 0.1855 0.1559
Na2 0.2500 0.0281 0.7500
P1 0.0000 0.0782 0.5543
Se1 0.0000 0.0526 0.8246
Se2 0.1531 0.1542 0.4669
```

Largest 12 diffraction maxima, by angle, 5° ≤ 2θ ≤ 70°:
2θ (°)  I/Imax  h k l
14.8  56  2 0 0
23.9  62  1 3 1
25.7  27  0 2 2
25.8  60  3 1 1
26.6  22  0 4 0
28.8  44  0 4 1
32.1  72  3 3 1
32.8  28  4 2 0
34.7  100  0 4 2
37.4  34  4 0 2
45.4  27  3 3 3
54.8  22  3 3 4

***

# 5
The following is a theoretical X-ray diffraction stick pattern of LiSiBiO4. It was derived from a DFT-relaxed cell (GGA-PBE, the Materials Project), using Cu Kα (λ = 1.5418 Å).

Structure:
```
data_LiSiBiO4
_symmetry_space_group_name_H-M 'P c a 21'
_symmetry_Int_Tables_number 29
_cell_length_a 10.4743
_cell_length_b 5.3814
_cell_length_c 14.5906
_cell_angle_alpha 90.00
_cell_angle_beta 90.00
_cell_angle_gamma 90.00
loop_
_symmetry_equiv_pos_as_xyz
'x,y,z'
'-x,-y,z+1/2'
'-x+1/2,y,z+1/2'
'x+1/2,-y,z'
loop_
_atom_site_label
_atom_site_fract_x
_atom_site_fract_y
_atom_site_fract_z
Li1 0.0231 0.0521 0.0000
Li2 0.2195 0.4426 0.2410
Si1 0.0354 0.5540 0.8730
Si2 0.2265 0.9243 0.6174
Bi1 0.0169 0.9426 0.2528
Bi2 0.2035 0.4062 0.4907
O1 0.0095 0.6136 0.4608
O2 0.0267 0.1673 0.3938
O3 0.0381 0.5370 0.2762
O4 0.0795 0.0386 0.6109
O5 0.1898 0.5339 0.8589
O6 0.2007 0.0279 0.0264
O7 0.2104 0.0453 0.2135
O8 0.2358 0.6208 0.6251
```

Largest 12 diffraction maxima, by angle, 5° ≤ 2θ ≤ 70°:
2θ (°)  I/Imax  h k l
20.5  96  0 1 2
20.9  100  2 0 2
22.2  18  1 1 2
23.7  42  2 1 0
24.4  38  0 0 4
34.3  59  4 0 0
39.6  15  2 2 2
40.2  16  4 1 2
40.7  18  0 1 6
40.9  20  2 0 6
42.6  15  1 2 4
56.0  20  2 1 8

***

# 6
The following is a theoretical X-ray diffraction stick pattern of ErBiPt. It was derived from a DFT-relaxed cell (GGA-PBE, the Materials Project), using Cu Kα (λ = 1.5418 Å).

Structure:
```
data_ErBiPt
_symmetry_space_group_name_H-M 'F -4 3 m'
_symmetry_Int_Tables_number 216
_symmetry_space_group_name_Hall 'F -4 2 3'
_cell_length_a 6.7133
_cell_length_b 6.7133
_cell_length_c 6.7133
_cell_angle_alpha 90.00
_cell_angle_beta 90.00
_cell_angle_gamma 90.00
loop_
_atom_site_label
_atom_site_fract_x
_atom_site_fract_y
_atom_site_fract_z
Er1 0.0000 0.0000 0.0000
Bi1 0.0000 0.0000 0.5000
Pt1 0.2500 0.2500 0.7500
```

Largest 9 diffraction maxima, by angle, 5° ≤ 2θ ≤ 70°:
2θ (°)  I/Imax  h k l
22.9  29  1 1 1
26.6  13  2 0 0
37.9  100  2 2 0
44.8  15  3 1 1
46.9  4  2 2 2
54.7  18  4 0 0
60.1  6  3 3 1
61.8  5  4 2 0
68.5  36  4 2 2

***

# 7
The following is a theoretical X-ray diffraction stick pattern of NaSrTbBiO6. It was derived from a DFT-relaxed cell (GGA-PBE, the Materials Project), using Cu Kα (λ = 1.5418 Å).

Structure:
```
data_NaSrTbBiO6
_symmetry_space_group_name_H-M 'P n n n'
_symmetry_Int_Tables_number 48
_cell_length_a 8.4791
_cell_length_b 8.5010
_cell_length_c 8.5303
_cell_angle_alpha 90.00
_cell_angle_beta 90.00
_cell_angle_gamma 90.00
loop_
_symmetry_equiv_pos_as_xyz
'x,y,z'
'-x,-y,-z'
'-x+1/2,-y+1/2,z'
'x+1/2,y+1/2,-z'
'x,-y+1/2,-z+1/2'
'-x,y+1/2,z+1/2'
'-x+1/2,y,-z+1/2'
'x+1/2,-y,z+1/2'
loop_
_atom_site_label
_atom_site_fract_x
_atom_site_fract_y
_atom_site_fract_z
Na1 0.2500 0.2500 0.2500
Na2 0.2500 0.7500 0.7500
Sr1 0.2500 0.2500 0.7500
Sr2 0.2500 0.7500 0.2500
Tb1 0.0000 0.0000 0.0000
Bi1 0.0000 0.0000 0.5000
O1 0.0119 0.0538 0.7433
O2 0.0621 0.2409 0.4668
O3 0.2424 0.5631 0.0035
```

Largest 12 diffraction maxima, by angle, 5° ≤ 2θ ≤ 70°:
2θ (°)  I/Imax  h k l
20.9  30  0 0 2
21.0  15  2 0 0
29.7  100  2 2 0
42.4  10  0 0 4
42.5  9  0 4 0
42.7  9  4 0 0
47.7  7  0 2 4
47.8  7  2 4 0
47.9  7  4 2 0
52.7  32  2 4 2
52.8  16  4 2 2
61.7  11  4 0 4

***

# 8
The following is a theoretical X-ray diffraction stick pattern of Mg4Te3Se. It was derived from a DFT-relaxed cell (GGA-PBE, the Materials Project), using Cu Kα (λ = 1.5418 Å).

Structure:
```
data_Mg4Te3Se
_symmetry_space_group_name_H-M 'P -4 m 2'
_symmetry_Int_Tables_number 115
_cell_length_a 4.5252
_cell_length_b 4.5252
_cell_length_c 12.7042
_cell_angle_alpha 90.00
_cell_angle_beta 90.00
_cell_angle_gamma 90.00
loop_
_symmetry_equiv_pos_as_xyz
'x,y,z'
'y,-x,-z'
'-x,-y,z'
'-y,x,-z'
'-x,y,z'
'-y,-x,-z'
'x,-y,z'
'y,x,-z'
loop_
_atom_site_label
_atom_site_fract_x
_atom_site_fract_y
_atom_site_fract_z
Mg1 0.0000 0.5000 0.1105
Mg2 0.0000 0.5000 0.6287
Te1 0.0000 0.0000 0.2417
Te2 0.5000 0.5000 0.5000
Se1 0.5000 0.5000 0.0000
```

Largest 12 diffraction maxima, by angle, 5° ≤ 2θ ≤ 70°:
2θ (°)  I/Imax  h k l
24.1  100  1 0 2
27.9  20  1 1 0
28.1  10  0 0 4
39.8  19  2 0 0
40.0  36  1 1 4
47.1  32  2 1 2
47.4  15  1 0 6
49.5  8  2 0 4
57.6  6  2 2 0
63.4  7  3 0 2
63.6  12  2 1 6
65.2  4  3 1 0

***

# 9
The following is a theoretical X-ray diffraction stick pattern of CeSe2. It was derived from a DFT-relaxed cell (GGA-PBE, the Materials Project), using Cu Kα (λ = 1.5418 Å).

Structure:
```
data_CeSe2
_symmetry_space_group_name_H-M 'P 32 2 1'
_symmetry_Int_Tables_number 154
_cell_length_a 4.9052
_cell_length_b 4.9052
_cell_length_c 11.7887
_cell_angle_alpha 90.00
_cell_angle_beta 90.00
_cell_angle_gamma 120.00
loop_
_symmetry_equiv_pos_as_xyz
'x,y,z'
'-y,x-y,z+2/3'
'-x+y,-x,z+1/3'
'y,x,-z'
'x-y,-y,-z+1/3'
'-x,-x+y,-z+2/3'
loop_
_atom_site_label
_atom_site_fract_x
_atom_site_fract_y
_atom_site_fract_z
Ce1 0.0000 0.6606 0.3333
Se1 0.0036 0.6696 0.0813
```

Largest 12 diffraction maxima, by angle, 5° ≤ 2θ ≤ 70°:
2θ (°)  I/Imax  h k l
22.2  77  1 0 1
22.6  28  0 0 3
36.6  100  1 1 0
37.1  96  1 0 4
43.3  13  0 2 1
43.5  29  1 1 3
43.9  11  0 1 5
53.2  34  0 2 4
58.0  11  2 1 1
66.0  18  3 0 0
66.3  35  2 1 4
67.2  17  0 1 8